1.
# Tm2Zr2Sc
Theoretical powder diffractogram, Cu Kα. Input: the GGA-PBE geometry in Alexandria.
Neutral-atom scattering factors, no anomalous dispersion.

Crystal structure
Lattice parameters (Å, degrees): 5.334 18.477 5.331 90.00 90.00 90.00
Space group Cmcm (No. 63)
Asymmetric unit:
Tm 0.000 0.064 0.250 [4 per cell]
Tm 0.000 0.435 0.250 [4 per cell]
Zr 0.000 0.168 0.750 [4 per cell]
Zr 0.000 0.249 0.250 [4 per cell]
Sc 0.000 0.332 0.750 [4 per cell]

Principal peaks in the range 10° ≤ 2θ ≤ 80°, sorted by position:
| h k l | 2θ/deg | intensity |
| --- | --- | --- |
| 1 1 1 | 24.09 | 10 |
| 1 3 1 | 27.74 | 32 |
| 2 0 0 | 33.61 | 63 |
| 1 5 1 | 33.97 | 100 |
| 0 8 0 | 39.00 | 7 |
| 2 6 0 | 44.97 | 8 |
| 2 0 2 | 48.27 | 23 |
| 2 8 0 | 52.41 | 12 |
| 3 3 1 | 56.59 | 9 |
| 3 5 1 | 60.33 | 44 |
| 2 10 0 | 61.01 | 9 |
| 4 0 0 | 70.65 | 10 |



2.
# BaY3Br11
Theoretical powder diffractogram, Cu Kα. Input: the GGA-PBE geometry in Alexandria.
Neutral-atom scattering factors, no anomalous dispersion.

Crystal structure
Lattice parameters (Å, degrees): 10.889 5.647 20.242 90.00 90.00 90.00
Space group Pmma (No. 51)
Asymmetric unit:
Ba 0.250 0.000 0.020 [2 per cell]
Y 0.000 0.000 0.500 [2 per cell]
Y 0.003 0.000 0.766 [4 per cell]
Br 0.000 0.500 0.500 [2 per cell]
Br 0.006 0.500 0.764 [4 per cell]
Br 0.041 0.000 0.903 [4 per cell]
Br 0.072 0.000 0.367 [4 per cell]
Br 0.250 0.000 0.200 [2 per cell]
Br 0.250 0.000 0.538 [2 per cell]
Br 0.250 0.000 0.730 [2 per cell]
Br 0.250 0.500 0.075 [2 per cell]

Principal peaks in the range 10° ≤ 2θ ≤ 80°, sorted by position:
| h k l | 2θ/deg | intensity |
| --- | --- | --- |
| 0 1 0 | 15.69 | 100 |
| 2 0 1 | 16.86 | 21 |
| 0 0 4 | 17.52 | 36 |
| 3 0 2 | 26.08 | 32 |
| 2 1 4 | 28.81 | 49 |
| 0 2 0 | 31.70 | 82 |
| 1 1 6 | 31.98 | 24 |
| 4 0 0 | 32.90 | 40 |
| 2 0 7 | 35.13 | 26 |
| 4 0 4 | 37.52 | 26 |
| 4 2 0 | 46.33 | 30 |
| 4 2 4 | 49.89 | 28 |



3.
# CsTiF4
Theoretical powder diffractogram, Cu Kα. Input: the GGA-PBE geometry in Alexandria.
Neutral-atom scattering factors, no anomalous dispersion.

Crystal structure
Lattice parameters (Å, degrees): 8.027 8.027 6.682 90.00 90.00 90.00
Space group P4/nmm (No. 129, origin choice 2)
Asymmetric unit:
Cs 0.250 0.250 0.047 [2 per cell]
Cs 0.250 0.750 0.000 [2 per cell]
Ti 0.000 0.000 0.500 [4 per cell]
F 0.002 0.750 0.540 [8 per cell]
F 0.026 0.026 0.785 [8 per cell]

Principal peaks in the range 10° ≤ 2θ ≤ 80°, sorted by position:
| h k l | 2θ/deg | intensity |
| --- | --- | --- |
| 0 0 1 | 13.25 | 8 |
| 2 0 1 | 25.90 | 100 |
| 0 0 2 | 26.68 | 23 |
| 2 2 0 | 31.53 | 32 |
| 2 2 1 | 34.33 | 27 |
| 2 0 2 | 34.94 | 18 |
| 2 2 2 | 41.76 | 10 |
| 4 0 0 | 45.19 | 23 |
| 2 0 3 | 46.64 | 21 |
| 4 2 1 | 52.82 | 27 |
| 4 0 2 | 53.25 | 14 |
| 4 2 3 | 66.96 | 13 |